(1)
Computed powder X-ray diffraction pattern
Compound: UZn3
Radiation: CuKα
Structure: the PBE geometry in the Materials Project
Peak positions follow from Bragg's law for the DFT cell and can differ from measured ones.

Peak list (8 most intense, 10 to 90 degrees two-theta, low angle first)
2θ/deg  I (rel.)
26.02  43
28.22  21
32.70  26
38.77  100
41.15  20
58.37  18
73.40  15
73.90  18

Structure:
```
UZn3
1.0
6.324 0.000 0.000
-3.162 5.476 0.000
0.000 0.000 4.387
U Zn
2 6
Direct
0.333 0.667 0.250
0.667 0.333 0.750
0.150 0.300 0.750
0.150 0.850 0.750
0.300 0.150 0.250
0.700 0.850 0.750
0.850 0.150 0.250
0.850 0.700 0.250
```

=====

(2)
Computed powder X-ray diffraction pattern
Compound: KY2Cl7
Radiation: CuKα
Structure: the PBE geometry in the Materials Project
Peak positions follow from Bragg's law for the DFT cell and can differ from measured ones.

Peak list (8 most intense, 10 to 90 degrees two-theta, low angle first)
2θ/deg  I (rel.)
13.07  100
14.50  38
19.44  36
19.69  38
25.52  40
34.60  36
36.71  21
38.92  21

Structure:
```
KY2Cl7
1.0
6.975 0.000 0.000
0.000 12.666 0.000
-0.202 0.000 13.548
K Y Cl
4 8 28
Direct
0.249 0.200 0.037
0.249 0.300 0.537
0.751 0.700 0.463
0.751 0.800 0.963
0.224 0.538 0.238
0.224 0.962 0.738
0.272 0.659 0.748
0.272 0.841 0.248
0.728 0.159 0.752
0.728 0.341 0.252
0.776 0.038 0.262
0.776 0.462 0.762
0.002 0.704 0.176
0.002 0.796 0.676
0.022 0.574 0.876
0.022 0.926 0.376
0.054 0.525 0.636
0.054 0.975 0.136
0.253 0.686 0.389
0.253 0.814 0.889
0.457 0.088 0.625
0.457 0.412 0.125
0.465 0.057 0.868
0.465 0.443 0.368
0.483 0.679 0.175
0.483 0.821 0.675
0.517 0.179 0.325
0.517 0.321 0.825
0.535 0.557 0.632
0.535 0.943 0.132
0.543 0.588 0.875
0.543 0.912 0.375
0.747 0.186 0.111
0.747 0.314 0.611
0.946 0.025 0.864
0.946 0.475 0.364
0.978 0.074 0.624
0.978 0.426 0.124
0.998 0.204 0.324
0.998 0.296 0.824
```

=====

(3)
Computed powder X-ray diffraction pattern
Compound: LaMgI5
Radiation: CuKα
Structure: the PBE geometry in the Materials Project
Peak positions follow from Bragg's law for the DFT cell and can differ from measured ones.

Peak list (8 most intense, 10 to 90 degrees two-theta, low angle first)
2θ/deg  I (rel.)
10.16  54
14.38  90
16.61  45
23.17  57
24.35  50
24.91  100
25.48  47
28.39  67

Structure:
```
LaMgI5
1.0
10.962 0.000 0.000
0.000 12.294 0.000
-2.652 0.000 12.331
La Mg I
4 4 20
Direct
0.011 0.239 0.247
0.011 0.261 0.747
0.989 0.739 0.253
0.989 0.761 0.753
0.375 0.004 0.885
0.375 0.496 0.385
0.625 0.504 0.615
0.625 0.996 0.115
0.019 0.217 0.500
0.019 0.283 0.000
0.055 0.513 0.732
0.055 0.987 0.232
0.282 0.691 0.295
0.282 0.809 0.795
0.301 0.203 0.792
0.301 0.297 0.292
0.369 0.006 0.102
0.369 0.494 0.602
0.631 0.506 0.398
0.631 0.994 0.898
0.699 0.703 0.708
0.699 0.797 0.208
0.718 0.191 0.205
0.718 0.309 0.705
0.945 0.013 0.768
0.945 0.487 0.268
0.981 0.717 0.000
0.981 0.783 0.500
```

=====

(4)
Computed powder X-ray diffraction pattern
Compound: NpSb
Radiation: CuKα
Structure: the PBE geometry in the Materials Project
Peak positions follow from Bragg's law for the DFT cell and can differ from measured ones.

Peak list (8 most intense, 10 to 90 degrees two-theta, low angle first)
2θ/deg  I (rel.)
22.56  15
32.12  65
35.53  100
46.07  24
59.50  46
65.91  17
75.22  12
76.44  11

Structure:
```
NpSb
1.0
3.941 0.000 0.000
0.000 3.941 0.000
0.000 0.000 3.292
Np Sb
1 1
Direct
0.000 0.000 0.000
0.500 0.500 0.500
```

=====

(5)
Computed powder X-ray diffraction pattern
Compound: IF5
Radiation: CuKα
Structure: the PBE geometry in the Materials Project
Peak positions follow from Bragg's law for the DFT cell and can differ from measured ones.

Peak list (8 most intense, 10 to 90 degrees two-theta, low angle first)
2θ/deg  I (rel.)
19.99  84
21.53  100
25.02  18
25.32  19
33.26  16
38.66  15
40.80  14
43.24  9

Structure:
```
IF5
1.0
7.785 -3.559 0.000
7.785 3.559 0.000
-1.103 0.000 18.751
I F
10 50
Direct
0.026 0.403 0.846
0.087 0.700 0.447
0.247 0.753 0.750
0.300 0.913 0.053
0.403 0.026 0.346
0.597 0.974 0.654
0.700 0.087 0.947
0.753 0.247 0.250
0.913 0.300 0.553
0.974 0.597 0.154
0.021 0.218 0.784
0.034 0.391 0.084
0.043 0.874 0.372
0.053 0.553 0.375
0.126 0.957 0.128
0.141 0.208 0.922
0.159 0.383 0.221
0.183 0.611 0.801
0.201 0.794 0.508
0.204 0.475 0.509
0.206 0.799 0.992
0.208 0.141 0.422
0.215 0.649 0.663
0.218 0.021 0.284
0.218 0.519 0.123
0.351 0.785 0.837
0.354 0.524 0.412
0.383 0.159 0.721
0.389 0.817 0.699
0.391 0.034 0.584
0.447 0.947 0.125
0.475 0.204 0.009
0.476 0.646 0.088
0.481 0.782 0.377
0.492 0.508 0.250
0.508 0.492 0.750
0.519 0.218 0.623
0.524 0.354 0.912
0.525 0.796 0.991
0.553 0.053 0.875
0.609 0.966 0.416
0.611 0.183 0.301
0.617 0.841 0.279
0.646 0.476 0.588
0.649 0.215 0.163
0.782 0.481 0.877
0.782 0.979 0.716
0.785 0.351 0.337
0.792 0.859 0.578
0.794 0.201 0.008
0.796 0.525 0.491
0.799 0.206 0.492
0.817 0.389 0.199
0.841 0.617 0.779
0.859 0.792 0.078
0.874 0.043 0.872
0.947 0.447 0.625
0.957 0.126 0.628
0.966 0.609 0.916
0.979 0.782 0.216
```

=====

(6)
Computed powder X-ray diffraction pattern
Compound: NaMg6Zr
Radiation: CuKα
Structure: the PBE geometry in the Materials Project
Peak positions follow from Bragg's law for the DFT cell and can differ from measured ones.

Peak list (8 most intense, 10 to 90 degrees two-theta, low angle first)
2θ/deg  I (rel.)
13.84  34
23.70  14
34.05  100
38.86  17
39.85  32
56.88  21
67.30  13
68.65  23

Structure:
```
NaMg6Zr
1.0
6.399 0.000 0.000
0.000 6.399 0.000
0.000 0.000 4.635
Na Mg Zr
1 6 1
Direct
0.000 0.000 0.000
0.000 0.500 0.000
0.258 0.258 0.500
0.258 0.742 0.500
0.500 0.000 0.000
0.742 0.258 0.500
0.742 0.742 0.500
0.500 0.500 0.000
```